[1]
Theoretical PXRD pattern of Li4Ti3Nb3V2O16 for CuKα, from a cell relaxed with PBE+U.
Peak positions follow from Bragg's law for the DFT cell and can differ from measured ones.

Crystal structure
Cell lengths 10.551, 6.013, 10.020 Å; angles 90.00, 90.34, 90.00 degrees
Space group Cm (No. 8)
One atom of each set of equivalent atoms:
Li (0.000, 0.000, 0.000) x2
Li (0.003, 0.000, 0.501) x2
Li (0.175, 0.500, 0.392) x2
Li (0.339, 0.000, 0.903) x2
Ti (0.344, 0.500, 0.722) x2
Ti (0.423, 0.248, 0.220) x4
Nb (0.091, 0.272, 0.715) x4
Nb (0.176, 0.000, 0.217) x2
V (0.175, 0.500, 0.994) x2
V (0.338, 0.000, 0.488) x2
O (0.003, 0.000, 0.818) x2
O (0.005, 0.000, 0.320) x2
O (0.019, 0.500, 0.853) x2
O (0.085, 0.237, 0.108) x4
O (0.164, 0.000, 0.604) x2
O (0.192, 0.500, 0.599) x2
O (0.248, 0.280, 0.834) x4
O (0.268, 0.227, 0.335) x4
O (0.343, 0.000, 0.110) x2
O (0.351, 0.500, 0.113) x2
O (0.427, 0.261, 0.610) x4
O (0.488, 0.000, 0.332) x2

Most intense lines, 2θ = 15–90°, low angle first:
Position (°2θ)  d (Å)  I/Imax
17.70  5.010  100
18.99  4.673  34
19.15  4.634  70
31.80  2.814  32
35.51  2.528  45
38.87  2.317  26
43.91  2.062  36
61.05  1.518  27

=====

[2]
Theoretical PXRD pattern of MnSi2O6 for CuKα, from a cell relaxed with PBE+U.
Peak positions follow from Bragg's law for the DFT cell and can differ from measured ones.

Crystal structure
Cell lengths 9.498, 8.558, 5.331 Å; angles 90.00, 110.23, 90.00 degrees
Space group C2/c (No. 15)
One atom of each set of equivalent atoms:
Mn (0.000, 0.093, 0.250) x4
Si (0.198, 0.411, 0.252) x8
O (0.113, 0.078, 0.636) x8
O (0.140, 0.499, 0.965) x8
O (0.141, 0.231, 0.212) x8

Most intense lines, 2θ = 15–90°, low angle first:
Position (°2θ)  d (Å)  I/Imax
19.99  4.441  77
20.76  4.279  56
25.46  3.498  39
30.16  2.963  100
31.89  2.806  74
35.91  2.501  55
37.74  2.384  25
42.11  2.146  25